# Na2NdMnTe4
Theoretical powder XRD pattern, Cu Kα. Input: the GGA-PBE geometry in Alexandria.
Kinematic intensities with the Lorentz-polarization factor, no thermal factor.

```
data_Na2NdMnTe4
_cell_length_a 7.492
_cell_length_b 4.349
_cell_length_c 7.981
_cell_angle_alpha 90.00
_cell_angle_beta 108.15
_cell_angle_gamma 90.00
_space_group_name_H-M_alt 'P 1 2/m 1'
_space_group_IT_number 10
_space_group_name_Hall '-P 2y'
loop_
_atom_site_label
_atom_site_fract_x
_atom_site_fract_y
_atom_site_fract_z
Na1 0.000 0.000 0.000
Na2 0.500 0.500 0.000
Nd1 0.000 0.500 0.500
Mn1 0.500 0.000 0.500
Te1 0.271 0.000 0.729
Te2 0.285 0.500 0.283
```

Peak list (6 most intense, 10 to 90 degrees two-theta, by angle)
h k l	two_theta	I/Imax
0 0 1	11.67	43
1 1 -1	24.96	21
1 1 1	28.44	100
2 0 -2	28.55	48
1 1 -3	39.75	53
3 1 -1	41.70	32